Fe9PO12: theoretical powder X-ray diffraction pattern (copper Kα), based on a crystal structure in Alexandria, relaxed with PBE+U.
Peak positions follow from Bragg's law for the DFT cell and can differ from measured ones.

Peak list (10 most intense, 2θ = 5–70°, low angle first)
2θ = 6.56°, intensity 854
2θ = 32.89°, intensity 467
2θ = 33.23°, intensity 410
2θ = 34.19°, intensity 435
2θ = 35.26°, intensity 356
2θ = 36.21°, intensity 412
2θ = 40.14°, intensity 470
2θ = 42.16°, intensity 1000
2θ = 42.72°, intensity 321
2θ = 59.62°, intensity 883

Atomic structure:
```
data_Fe9PO12
_chemical_formula_sum 'Fe9 P1 O12'
_cell_length_a 3.089
_cell_length_b 13.804
_cell_length_c 13.804
_cell_angle_alpha 24.90
_cell_angle_beta 90.00
_cell_angle_gamma 90.00
_symmetry_space_group_name_H-M 'P 1'
_symmetry_Int_Tables_number 1
loop_
_symmetry_equiv_pos_as_xyz
'x,y,z'
loop_
_atom_site_label
_atom_site_fract_x
_atom_site_fract_y
_atom_site_fract_z
Fe1 0.000 0.000 0.000
Fe2 0.000 0.164 0.164
Fe3 0.000 0.348 0.348
Fe4 0.000 0.671 0.671
Fe5 0.500 0.004 0.508
Fe6 0.500 0.342 0.823
Fe7 0.500 0.465 0.465
Fe8 0.500 0.508 0.004
Fe9 0.500 0.823 0.342
P1 0.500 0.874 0.874
O1 0.000 0.088 0.088
O2 0.000 0.270 0.270
O3 0.000 0.423 0.423
O4 0.000 0.595 0.595
O5 0.000 0.749 0.749
O6 0.000 0.904 0.904
O7 0.500 0.063 0.624
O8 0.500 0.238 0.769
O9 0.500 0.405 0.941
O10 0.500 0.624 0.063
O11 0.500 0.769 0.238
O12 0.500 0.941 0.405
```